(1)
Diffraction record for Cs6PrO4. The X-ray diffraction stick pattern is computed, not measured: it uses the GGA-PBE geometry in Alexandria and Cu Kα (weighted mean of Kα1 and Kα2).
Kinematic intensities with the Lorentz-polarization factor, no thermal factor.

Peak list (12 most intense, 10° ≤ 2θ ≤ 90°, in order of rising 2θ)
| 2θ/deg | d (Å) | intensity | h k l |
| --- | --- | --- | --- |
| 20.5 | 4.335 | 25 | 2 0 1 |
| 21.2 | 4.182 | 9 | 2 1 0 |
| 24.8 | 3.587 | 100 | 2 1 1 |
| 25.5 | 3.488 | 22 | 0 0 2 |
| 27.9 | 3.194 | 15 | 2 2 0 |
| 29.1 | 3.067 | 11 | 3 1 0 |
| 38.2 | 2.356 | 10 | 2 2 2 |
| 39.1 | 2.304 | 14 | 3 1 2 |
| 42.9 | 2.109 | 14 | 5 0 1 |
| 44.6 | 2.032 | 15 | 2 1 3 |
| 50.2 | 1.818 | 11 | 3 3 2 |
| 68.7 | 1.367 | 8 | 6 3 1 |

Cell and atoms:
abc: 12.7752 12.7752 6.9767
angles: 90.00 90.00 120.00
Space group P6_3mc (No. 186)
One atom of each set of equivalent atoms:
Cs 0.1239 0.5620 0.0000 x6
Cs 0.1479 0.2959 0.5100 x6
Pr 0.3333 0.6667 0.4315 x2
O 0.2409 0.4817 0.2852 x6
O 0.3333 0.6667 0.7591 x2

---

(2)
Diffraction record for DyZn9Au3. The X-ray diffraction stick pattern is computed, not measured: it uses the GGA-PBE geometry in Alexandria and Cu Kα (weighted mean of Kα1 and Kα2).
Kinematic intensities with the Lorentz-polarization factor, no thermal factor.

Peak list (12 most intense, 10° ≤ 2θ ≤ 90°, in order of rising 2θ)
| 2θ/deg | d (Å) | intensity | h k l |
| --- | --- | --- | --- |
| 19.9 | 4.467 | 74 | 0 2 1 |
| 28.1 | 3.171 | 28 | 0 4 0 |
| 28.4 | 3.146 | 29 | 0 0 2 |
| 34.3 | 2.612 | 35 | 1 3 -2 |
| 38.1 | 2.362 | 96 | 2 2 0 |
| 38.4 | 2.342 | 89 | 2 2 -2 |
| 39.7 | 2.268 | 79 | 1 1 2 |
| 40.4 | 2.234 | 100 | 0 4 2 |
| 43.4 | 2.085 | 49 | 2 4 -1 |
| 45.2 | 2.005 | 38 | 0 6 1 |
| 45.5 | 1.992 | 31 | 0 2 3 |
| 71.7 | 1.317 | 26 | 2 6 2 |

Cell and atoms:
abc: 5.534 12.686 6.841
angles: 90.00 113.08 90.00
Space group C2/m (No. 12)
One atom of each set of equivalent atoms:
Dy 0.000 0.000 0.000 x2
Zn 0.000 0.500 0.500 x2
Zn 0.098 0.396 0.214 x8
Zn 0.181 0.177 0.359 x8
Au 0.000 0.000 0.500 x2
Au 0.250 0.250 0.000 x4

---

(3)
Diffraction record for LaPaBiAu. The X-ray diffraction stick pattern is computed, not measured: it uses the GGA-PBE geometry in Alexandria and Cu Kα (weighted mean of Kα1 and Kα2).
Kinematic intensities with the Lorentz-polarization factor, no thermal factor.

Peak list (11 most intense, 10° ≤ 2θ ≤ 90°, in order of rising 2θ)
| 2θ/deg | d (Å) | intensity | h k l |
| --- | --- | --- | --- |
| 20.0 | 4.434 | 3 | 1 1 1 |
| 33.0 | 2.716 | 100 | 2 2 0 |
| 38.9 | 2.316 | 2 | 3 1 1 |
| 47.3 | 1.920 | 19 | 4 0 0 |
| 51.9 | 1.762 | 1 | 3 3 1 |
| 58.9 | 1.568 | 39 | 4 2 2 |
| 62.9 | 1.478 | 1 | 5 1 1 |
| 69.2 | 1.358 | 12 | 4 4 0 |
| 72.9 | 1.298 | 1 | 5 3 1 |
| 78.8 | 1.214 | 17 | 6 2 0 |
| 88.1 | 1.109 | 5 | 4 4 4 |

Cell and atoms:
abc: 7.681 7.681 7.681
angles: 90.00 90.00 90.00
Space group F-43m (No. 216)
One atom of each set of equivalent atoms:
La 0.000 0.000 0.000 x4
Pa 0.000 0.000 0.500 x4
Bi 0.250 0.250 0.250 x4
Au 0.250 0.250 0.750 x4

---

(4)
Diffraction record for Pm2Dy2Er3. The X-ray diffraction stick pattern is computed, not measured: it uses the GGA-PBE geometry in Alexandria and Cu Kα (weighted mean of Kα1 and Kα2).
Kinematic intensities with the Lorentz-polarization factor, no thermal factor.

Peak list (12 most intense, 10° ≤ 2θ ≤ 90°, in order of rising 2θ)
| 2θ/deg | d (Å) | intensity | h k l |
| --- | --- | --- | --- |
| 22.4 | 3.961 | 12 | 2 1 1 |
| 29.1 | 3.068 | 100 | 3 0 1 |
| 32.0 | 2.801 | 49 | 2 2 2 |
| 34.6 | 2.593 | 89 | 3 1 2 |
| 39.4 | 2.287 | 17 | 4 1 1 |
| 47.8 | 1.903 | 34 | 4 3 1 |
| 51.6 | 1.771 | 13 | 5 2 1 |
| 58.7 | 1.574 | 38 | 5 3 2 |
| 62.0 | 1.497 | 19 | 5 4 1 |
| 68.4 | 1.372 | 14 | 5 3 4 |
| 71.4 | 1.320 | 12 | 7 2 1 |
| 80.4 | 1.194 | 14 | 7 1 4 |

Cell and atoms:
abc: 9.703 9.703 9.703
angles: 90.00 90.00 90.00
Space group I2_13 (No. 199)
One atom of each set of equivalent atoms:
Pm 0.156 0.344 0.656 x8
Dy 0.042 0.042 0.042 x8
Er 0.000 0.250 0.306 x12

---

(5)
Diffraction record for Tb3Pm12In. The X-ray diffraction stick pattern is computed, not measured: it uses the GGA-PBE geometry in Alexandria and Cu Kα (weighted mean of Kα1 and Kα2).
Kinematic intensities with the Lorentz-polarization factor, no thermal factor.

Peak list (12 most intense, 10° ≤ 2θ ≤ 90°, in order of rising 2θ)
| 2θ/deg | d (Å) | intensity | h k l |
| --- | --- | --- | --- |
| 30.4 | 2.938 | 100 | 1 1 4 |
| 34.9 | 2.570 | 17 | 0 0 8 |
| 35.4 | 2.532 | 33 | 2 0 0 |
| 50.6 | 1.804 | 24 | 2 0 8 |
| 51.0 | 1.791 | 12 | 2 2 0 |
| 59.8 | 1.546 | 14 | 1 1 12 |
| 60.6 | 1.529 | 28 | 3 1 4 |
| 63.3 | 1.469 | 12 | 2 2 8 |
| 82.4 | 1.170 | 11 | 3 1 12 |
| 83.1 | 1.163 | 6 | 3 3 4 |
| 85.5 | 1.136 | 5 | 4 0 8 |
| 85.8 | 1.133 | 5 | 4 2 0 |

Cell and atoms:
abc: 5.065 5.065 20.561
angles: 90.00 90.00 90.00
Space group P4/mmm (No. 123)
One atom of each set of equivalent atoms:
Tb 0.000 0.000 0.000 x1
Tb 0.000 0.000 0.252 x2
Pm 0.000 0.500 0.126 x4
Pm 0.000 0.500 0.379 x4
Pm 0.500 0.500 0.000 x1
Pm 0.500 0.500 0.254 x2
Pm 0.500 0.500 0.500 x1
In 0.000 0.000 0.500 x1

---

(6)
Diffraction record for Ho3GaGe3. The X-ray diffraction stick pattern is computed, not measured: it uses the GGA-PBE geometry in Alexandria and Cu Kα (weighted mean of Kα1 and Kα2).
Kinematic intensities with the Lorentz-polarization factor, no thermal factor.

Peak list (12 most intense, 10° ≤ 2θ ≤ 90°, in order of rising 2θ)
| 2θ/deg | d (Å) | intensity | h k l |
| --- | --- | --- | --- |
| 21.0 | 4.233 | 72 | 1 1 0 |
| 26.0 | 3.430 | 56 | 1 1 1 |
| 28.7 | 3.107 | 24 | 2 0 1 |
| 30.5 | 2.928 | 94 | 0 0 2 |
| 32.3 | 2.771 | 69 | 2 1 0 |
| 36.8 | 2.444 | 100 | 3 0 0 |
| 37.3 | 2.408 | 33 | 1 1 2 |
| 45.0 | 2.013 | 55 | 2 1 2 |
| 48.5 | 1.876 | 91 | 3 0 2 |
| 55.0 | 1.670 | 23 | 1 3 2 |
| 75.7 | 1.256 | 24 | 3 0 4 |
| 76.0 | 1.252 | 25 | 2 4 2 |

Cell and atoms:
abc: 8.4660 8.4660 5.8554
angles: 90.00 90.00 120.00
Space group P6_3/m (No. 176)
One atom of each set of equivalent atoms:
Ho 0.0571 0.6912 0.2500 x6
Ga 0.3333 0.6667 0.7500 x2
Ge 0.0540 0.6959 0.7500 x6

---

(7)
Diffraction record for HfSbPd5. The X-ray diffraction stick pattern is computed, not measured: it uses the GGA-PBE geometry in Alexandria and Cu Kα (weighted mean of Kα1 and Kα2).
Kinematic intensities with the Lorentz-polarization factor, no thermal factor.

Peak list (12 most intense, 10° ≤ 2θ ≤ 90°, in order of rising 2θ)
| 2θ/deg | d (Å) | intensity | h k l |
| --- | --- | --- | --- |
| 27.5 | 3.242 | 18 | 2 0 0 |
| 30.0 | 2.981 | 20 | 1 1 2 |
| 36.2 | 2.484 | 31 | 2 2 0 |
| 38.8 | 2.323 | 38 | 1 1 3 |
| 39.9 | 2.258 | 12 | 0 0 4 |
| 40.1 | 2.251 | 31 | 2 2 1 |
| 40.3 | 2.240 | 53 | 2 0 -4 |
| 40.4 | 2.234 | 100 | 1 3 -2 |
| 41.2 | 2.190 | 33 | 3 1 -1 |
| 41.5 | 2.178 | 12 | 3 1 -2 |
| 45.0 | 2.014 | 13 | 1 3 2 |
| 73.3 | 1.292 | 15 | 3 3 -6 |

Cell and atoms:
abc: 6.886 7.730 9.593
angles: 90.00 109.69 90.00
Space group C2/c (No. 15)
One atom of each set of equivalent atoms:
Hf 0.000 0.007 0.250 x4
Sb 0.000 0.500 0.000 x4
Pd 0.000 0.358 0.250 x4
Pd 0.104 0.157 0.536 x8
Pd 0.202 0.311 0.845 x8

---

(8)
Diffraction record for KAgP2O8. The X-ray diffraction stick pattern is computed, not measured: it uses the GGA-PBE geometry in Alexandria and Cu Kα (weighted mean of Kα1 and Kα2).
Kinematic intensities with the Lorentz-polarization factor, no thermal factor.

Peak list (12 most intense, 10° ≤ 2θ ≤ 90°, in order of rising 2θ)
| 2θ/deg | d (Å) | intensity | h k l |
| --- | --- | --- | --- |
| 10.5 | 8.454 | 85 | 0 0 1 |
| 20.9 | 4.241 | 46 | 1 0 0 |
| 23.5 | 3.792 | 76 | 0 1 1 |
| 29.8 | 2.995 | 100 | 0 1 2 |
| 36.7 | 2.450 | 36 | 1 1 0 |
| 38.3 | 2.350 | 21 | 2 -1 1 |
| 42.6 | 2.120 | 30 | 2 -1 2 |
| 48.0 | 1.896 | 25 | 0 2 2 |
| 48.1 | 1.892 | 21 | 1 0 4 |
| 57.6 | 1.600 | 17 | 1 1 4 |
| 61.9 | 1.499 | 30 | 0 2 4 |
| 66.1 | 1.414 | 14 | 3 0 0 |

Cell and atoms:
abc: 4.8995 4.8995 8.4537
angles: 90.00 90.00 120.00
Space group P-3 (No. 147)
One atom of each set of equivalent atoms:
K 0.0000 0.0000 0.0000 x1
Ag 0.0000 0.0000 0.5000 x1
P 0.3333 0.6667 0.7105 x2
O 0.0397 0.3522 0.6559 x6
O 0.3333 0.6667 0.8910 x2